Na2CePa2Se6: simulated powder XRD pattern (CuKα), based on a structure optimized by DFT (PBE).
No peak broadening, texture or thermal motion is included.

Most intense lines, 10° ≤ 2θ ≤ 90°, low angle first:
2θ/deg  I/Imax
12.48  100
24.91  31
25.03  18
29.79  92
29.96  46
32.46  18
42.15  52
43.34  33
45.28  17
53.46  26

Crystal structure
a b c (Å): 7.251 7.251 7.483
angles (deg): 99.11 99.11 120.25
Positions (direct):
Na (0.165, 0.835, 0.000)
Na (0.835, 0.165, 0.000)
Ce (0.000, 0.000, 0.500)
Pa (0.336, 0.664, 0.500)
Pa (0.664, 0.336, 0.500)
Se (0.072, 0.419, 0.729)
Se (0.264, 0.264, 0.265)
Se (0.419, 0.072, 0.729)
Se (0.581, 0.928, 0.271)
Se (0.736, 0.736, 0.735)
Se (0.928, 0.581, 0.271)

UCdPb2O8: simulated powder XRD pattern (CuKα), based on a structure optimized by DFT (PBE).
No peak broadening, texture or thermal motion is included.

Most intense lines, 10° ≤ 2θ ≤ 90°, low angle first:
2θ/deg  I/Imax
24.32  100
31.69  87
34.67  29
47.67  70
49.84  17
56.21  18
60.27  20
60.50  16
71.44  17
81.91  14

Crystal structure
a b c (Å): 5.175 5.175 6.739
angles (deg): 90.00 90.00 90.03
Positions (direct):
U (0.000, 0.000, 0.000)
Cd (0.000, 0.000, 0.500)
Pb (0.500, 0.500, 0.254)
Pb (0.500, 0.500, 0.746)
O (0.191, 0.809, 0.219)
O (0.191, 0.809, 0.781)
O (0.305, 0.305, 0.000)
O (0.309, 0.309, 0.500)
O (0.691, 0.691, 0.500)
O (0.695, 0.695, 0.000)
O (0.809, 0.191, 0.219)
O (0.809, 0.191, 0.781)

K6MgBr8: simulated powder XRD pattern (CuKα), based on a structure optimized by DFT (PBE).
No peak broadening, texture or thermal motion is included.

Most intense lines, 10° ≤ 2θ ≤ 90°, low angle first:
2θ/deg  I/Imax
13.86  28
22.97  50
27.93  36
28.39  100
29.53  80
31.83  36
33.55  68
33.77  58
36.67  41
39.62  29

Crystal structure
a b c (Å): 8.511 8.511 8.511
angles (deg): 69.79 69.79 69.79
Positions (direct):
K (0.018, 0.800, 0.442)
K (0.200, 0.558, 0.982)
K (0.442, 0.018, 0.800)
K (0.558, 0.982, 0.200)
K (0.800, 0.442, 0.018)
K (0.982, 0.200, 0.558)
Mg (0.500, 0.500, 0.500)
Br (0.156, 0.156, 0.156)
Br (0.193, 0.406, 0.654)
Br (0.346, 0.807, 0.594)
Br (0.406, 0.654, 0.193)
Br (0.594, 0.346, 0.807)
Br (0.654, 0.193, 0.406)
Br (0.807, 0.594, 0.346)
Br (0.844, 0.844, 0.844)

YReAs: simulated powder XRD pattern (CuKα), based on a structure optimized by DFT (PBE).
No peak broadening, texture or thermal motion is included.

Most intense lines, 10° ≤ 2θ ≤ 90°, low angle first:
2θ/deg  I/Imax
16.22  90
32.11  100
32.78  25
35.49  56
36.85  33
40.78  44
43.90  36
45.67  33
47.64  38
61.46  26

Crystal structure
a b c (Å): 6.046 6.046 6.046
angles (deg): 140.11 82.74 111.04
Positions (direct):
Y (0.166, 0.250, 0.416)
Y (0.834, 0.750, 0.584)
Re (0.584, 0.906, 0.177)
Re (0.729, 0.406, 0.823)
As (0.144, 0.554, 0.090)
As (0.464, 0.054, 0.910)

Ce7Sb: simulated powder XRD pattern (CuKα), based on a structure optimized by DFT (PBE).
No peak broadening, texture or thermal motion is included.

Most intense lines, 10° ≤ 2θ ≤ 90°, low angle first:
2θ/deg  I/Imax
33.05  100
38.34  50
55.35  34
65.99  40
69.34  12
82.11  5

Crystal structure
a b c (Å): 6.640 6.640 6.640
angles (deg): 60.00 60.00 60.00
Positions (direct):
Ce (0.000, 0.000, 0.000)
Ce (0.000, 0.000, 0.500)
Ce (0.000, 0.500, 0.000)
Ce (0.000, 0.500, 0.500)
Ce (0.500, 0.000, 0.000)
Ce (0.500, 0.000, 0.500)
Ce (0.500, 0.500, 0.000)
Sb (0.500, 0.500, 0.500)

Mg14MnAl: simulated powder XRD pattern (CuKα), based on a structure optimized by DFT (PBE).
No peak broadening, texture or thermal motion is included.

Most intense lines, 10° ≤ 2θ ≤ 90°, low angle first:
2θ/deg  I/Imax
16.27  4
18.51  4
32.88  25
35.62  26
37.53  100
49.25  15
58.70  17
65.24  18
70.58  19
71.78  13

Crystal structure
a b c (Å): 6.292 6.292 10.082
angles (deg): 90.00 90.00 120.00
Positions (direct):
Mg (0.000, 0.000, 0.249)
Mg (0.000, 0.000, 0.751)
Mg (0.009, 0.505, 0.246)
Mg (0.009, 0.505, 0.754)
Mg (0.333, 0.166, 0.500)
Mg (0.334, 0.167, 0.000)
Mg (0.495, 0.505, 0.246)
Mg (0.495, 0.505, 0.754)
Mg (0.495, 0.991, 0.246)
Mg (0.495, 0.991, 0.754)
Mg (0.833, 0.167, 0.000)
Mg (0.833, 0.666, 0.000)
Mg (0.834, 0.166, 0.500)
Mg (0.834, 0.667, 0.500)
Mn (0.333, 0.667, 0.000)
Al (0.333, 0.667, 0.500)

CeInH6Os: simulated powder XRD pattern (CuKα), based on a structure optimized by DFT (PBE).
No peak broadening, texture or thermal motion is included.

Most intense lines, 10° ≤ 2θ ≤ 90°, low angle first:
2θ/deg  I/Imax
19.36  13
29.15  100
37.85  55
39.29  16
42.85  11
48.47  25
55.70  36
63.09  22
65.09  10
81.79  12

Crystal structure
a b c (Å): 4.754 4.754 4.586
angles (deg): 90.00 90.00 120.00
Positions (direct):
Ce (0.000, 0.000, 0.000)
In (0.333, 0.667, 0.500)
H (0.527, 0.470, 0.206)
H (0.527, 0.470, 0.794)
H (0.530, 0.057, 0.206)
H (0.530, 0.057, 0.794)
H (0.943, 0.473, 0.206)
H (0.943, 0.473, 0.794)
Os (0.667, 0.333, 0.500)

RbPaP2: simulated powder XRD pattern (CuKα), based on a structure optimized by DFT (PBE).
No peak broadening, texture or thermal motion is included.

Most intense lines, 10° ≤ 2θ ≤ 90°, low angle first:
2θ/deg  I/Imax
11.25  84
22.61  47
24.86  79
25.72  57
28.91  23
31.11  100
36.40  39
39.39  23
43.24  48
49.34  55

Crystal structure
a b c (Å): 8.229 8.229 8.229
angles (deg): 29.46 29.46 29.46
Positions (direct):
Rb (0.000, 0.000, 0.000)
Pa (0.170, 0.170, 0.170)
P (0.561, 0.561, 0.561)
P (0.779, 0.779, 0.779)